The following is a theoretical powder XRD pattern of KC2N3. It was derived from a DFT-relaxed cell (PBE, the Materials Project), using Cu Kα (weighted mean of Kα1 and Kα2).

```
KC2N3
1.0
3.903 0.000 0.000
0.000 16.278 0.000
-1.133 0.000 6.820
K C N
4 8 12
Direct
0.157 0.096 0.325 K
0.157 0.404 0.825 K
0.843 0.596 0.175 K
0.843 0.904 0.675 K
0.371 0.715 0.542 C
0.371 0.785 0.042 C
0.451 0.087 0.844 C
0.451 0.413 0.344 C
0.549 0.587 0.656 C
0.549 0.913 0.156 C
0.629 0.215 0.958 C
0.629 0.285 0.458 C
0.305 0.715 0.055 N
0.305 0.785 0.555 N
0.348 0.037 0.726 N
0.348 0.463 0.226 N
0.436 0.638 0.513 N
0.436 0.862 0.013 N
0.564 0.138 0.987 N
0.564 0.362 0.487 N
0.652 0.537 0.774 N
0.652 0.963 0.274 N
0.695 0.215 0.445 N
0.695 0.285 0.945 N
```

Peak list (8 most intense, 10 to 90 degrees two-theta, by intensity)
(1 3 0), 28.4 deg, 3.142 Å, I = 100; (1 2 -1), 27.0 deg, 3.305 Å, I = 52; (0 1 2), 26.7 deg, 3.338 Å, I = 35; (0 6 0), 33.0 deg, 2.715 Å, I = 24; (0 2 1), 17.0 deg, 5.227 Å, I = 22; (1 1 1), 29.0 deg, 3.083 Å, I = 19; (1 5 1), 39.9 deg, 2.260 Å, I = 19; (1 1 -2), 32.6 deg, 2.750 Å, I = 18